[1]
Structure and calculated X-ray powder pattern of Dy2Y4LuNi2Te2 (a structure optimized by DFT (PBE); a wavelength of 1.5418 Å).
Neutral-atom scattering factors, no anomalous dispersion.

Main lines, by angle (2θ = 5–70°):
28.86 deg, intensity 28; 30.31 deg, intensity 54; 32.81 deg, intensity 66; 34.02 deg, intensity 100; 34.46 deg, intensity 45; 36.50 deg, intensity 24; 38.33 deg, intensity 21; 47.28 deg, intensity 25; 51.00 deg, intensity 30; 58.72 deg, intensity 31

Cell and atoms:
Unit cell a=9.3732 b=9.3732 c=9.3732 alpha=156.33 beta=67.06 gamma=118.29
Fractional coordinates of all 11 atoms:
Dy (0.1460, 0.0000, 0.1460)
Dy (0.8540, 0.0000, 0.8540)
Y (0.1643, 0.3480, 0.8163)
Y (0.5154, 0.1464, 0.3690)
Y (0.5318, 0.3480, 0.1837)
Y (0.7774, 0.1464, 0.6310)
Lu (0.2275, 0.7275, 0.5000)
Ni (0.3919, 0.6544, 0.7375)
Ni (0.9169, 0.6544, 0.2625)
Te (0.4909, 0.4909, 0.0000)
Te (0.8932, 0.3932, 0.5000)

---

[2]
Structure and calculated X-ray powder pattern of DyY4Lu2Ni2Te2 (a structure optimized by DFT (PBE); a wavelength of 1.5418 Å).
Neutral-atom scattering factors, no anomalous dispersion.

Main lines, by angle (2θ = 5–70°):
28.95 deg, intensity 29; 30.39 deg, intensity 53; 32.96 deg, intensity 67; 34.15 deg, intensity 100; 34.61 deg, intensity 46; 36.61 deg, intensity 24; 38.46 deg, intensity 21; 47.37 deg, intensity 25; 51.24 deg, intensity 31; 58.91 deg, intensity 32

Cell and atoms:
Unit cell a=9.3263 b=9.3263 c=9.3263 alpha=156.25 beta=67.17 gamma=118.21
Fractional coordinates of all 11 atoms:
Dy (0.0000, 0.0000, 0.0000)
Y (0.2888, 0.4200, 0.8688)
Y (0.3064, 0.6213, 0.6851)
Y (0.5513, 0.4200, 0.1312)
Y (0.9362, 0.6213, 0.3149)
Lu (0.6251, 0.2721, 0.3530)
Lu (0.9191, 0.2721, 0.6470)
Ni (0.1628, 0.9263, 0.2365)
Ni (0.6897, 0.9263, 0.7635)
Te (0.2646, 0.7646, 0.5000)
Te (0.6671, 0.6671, 0.0000)

---

[3]
Structure and calculated X-ray powder pattern of Dy2Y2Lu3Ni2Te2 (a structure optimized by DFT (PBE); a wavelength of 1.5418 Å).
Neutral-atom scattering factors, no anomalous dispersion.

Main lines, by angle (2θ = 5–70°):
29.07 deg, intensity 45; 30.44 deg, intensity 55; 32.91 deg, intensity 87; 34.26 deg, intensity 100; 34.70 deg, intensity 65; 36.60 deg, intensity 37; 38.47 deg, intensity 27; 47.58 deg, intensity 31; 51.37 deg, intensity 36; 59.06 deg, intensity 33

Cell and atoms:
Unit cell a=9.3107 b=9.3107 c=9.3107 alpha=156.31 beta=67.46 gamma=117.88
Fractional coordinates of all 11 atoms:
Dy (0.1858, 0.0000, 0.1858)
Dy (0.8142, 0.0000, 0.8142)
Y (0.1684, 0.7995, 0.3689)
Y (0.4307, 0.7995, 0.6311)
Lu (0.5087, 0.6542, 0.8545)
Lu (0.7998, 0.6542, 0.1455)
Lu (0.8783, 0.3783, 0.5000)
Ni (0.0397, 0.3054, 0.7343)
Ni (0.5711, 0.3054, 0.2657)
Te (0.1418, 0.1418, 0.0000)
Te (0.5470, 0.0470, 0.5000)

---

[4]
Structure and calculated X-ray powder pattern of Dy4YLu2Ni2Te2 (a structure optimized by DFT (PBE); a wavelength of 1.5418 Å).
Neutral-atom scattering factors, no anomalous dispersion.

Main lines, by angle (2θ = 5–70°):
24.96 deg, intensity 27; 28.90 deg, intensity 20; 30.42 deg, intensity 44; 33.10 deg, intensity 85; 34.12 deg, intensity 100; 34.62 deg, intensity 88; 36.71 deg, intensity 22; 38.55 deg, intensity 23; 47.25 deg, intensity 31; 58.90 deg, intensity 33

Cell and atoms:
Unit cell a=9.3157 b=9.3157 c=9.3157 alpha=156.16 beta=66.90 gamma=118.53
Fractional coordinates of all 11 atoms:
Dy (0.1330, 0.0000, 0.1330)
Dy (0.2037, 0.8519, 0.3519)
Dy (0.5000, 0.8519, 0.6481)
Dy (0.8670, 0.0000, 0.8670)
Y (0.5829, 0.5829, 0.0000)
Lu (0.5177, 0.2027, 0.3150)
Lu (0.8877, 0.2027, 0.6850)
Ni (0.2754, 0.5128, 0.7626)
Ni (0.7503, 0.5128, 0.2374)
Te (0.2469, 0.2469, 0.0000)
Te (0.8459, 0.3459, 0.5000)

---

[5]
Structure and calculated X-ray powder pattern of Dy3Lu4Pd2S2 (a structure optimized by DFT (PBE); a wavelength of 1.5418 Å).
Neutral-atom scattering factors, no anomalous dispersion.

Main lines, by angle (2θ = 5–70°):
29.57 deg, intensity 27; 30.00 deg, intensity 31; 31.12 deg, intensity 79; 31.77 deg, intensity 36; 34.65 deg, intensity 41; 35.16 deg, intensity 100; 35.64 deg, intensity 48; 39.80 deg, intensity 22; 47.59 deg, intensity 28; 53.45 deg, intensity 25

Cell and atoms:
Unit cell a=8.9023 b=8.9023 c=8.9023 alpha=155.21 beta=67.48 gamma=118.36
Fractional coordinates of all 11 atoms:
Dy (0.0000, 0.0000, 0.0000)
Dy (0.6065, 0.2401, 0.3663)
Dy (0.8738, 0.2401, 0.6337)
Lu (0.2844, 0.4017, 0.8828)
Lu (0.2943, 0.6145, 0.6799)
Lu (0.5189, 0.4017, 0.1172)
Lu (0.9346, 0.6145, 0.3201)
Pd (0.1596, 0.9172, 0.2424)
Pd (0.6748, 0.9172, 0.7576)
S (0.2521, 0.7521, 0.5000)
S (0.6470, 0.6470, 0.0000)

---

[6]
Structure and calculated X-ray powder pattern of Dy5Lu2Pd2Se2 (a structure optimized by DFT (PBE); a wavelength of 1.5418 Å).
Neutral-atom scattering factors, no anomalous dispersion.

Main lines, by angle (2θ = 5–70°):
29.03 deg, intensity 24; 30.53 deg, intensity 56; 31.01 deg, intensity 30; 33.80 deg, intensity 51; 34.46 deg, intensity 100; 34.92 deg, intensity 49; 37.02 deg, intensity 23; 38.94 deg, intensity 23; 46.86 deg, intensity 29; 59.02 deg, intensity 21

Cell and atoms:
Unit cell a=9.1120 b=9.1120 c=9.1120 alpha=155.43 beta=67.45 gamma=118.30
Fractional coordinates of all 11 atoms:
Dy (0.0000, 0.0000, 0.0000)
Dy (0.1087, 0.7467, 0.3620)
Dy (0.3848, 0.7467, 0.6380)
Dy (0.4671, 0.5891, 0.8780)
Dy (0.7111, 0.5891, 0.1220)
Lu (0.0605, 0.3795, 0.6809)
Lu (0.6986, 0.3795, 0.3191)
Pd (0.3117, 0.0738, 0.2379)
Pd (0.8359, 0.0738, 0.7621)
Se (0.3390, 0.3390, 0.0000)
Se (0.7450, 0.2450, 0.5000)

---

[7]
Structure and calculated X-ray powder pattern of DyLu2Sn4Pd4 (a structure optimized by DFT (PBE); a wavelength of 1.5418 Å).
Neutral-atom scattering factors, no anomalous dispersion.

Main lines, by angle (2θ = 5–70°):
32.34 deg, intensity 100; 33.04 deg, intensity 27; 34.35 deg, intensity 79; 36.86 deg, intensity 19; 37.04 deg, intensity 17; 40.95 deg, intensity 26; 41.62 deg, intensity 40; 44.73 deg, intensity 25; 54.14 deg, intensity 17; 59.82 deg, intensity 17

Cell and atoms:
Unit cell a=8.4558 b=8.4558 c=8.4558 alpha=150.26 beta=127.95 gamma=61.10
Fractional coordinates of all 11 atoms:
Dy (0.0000, 0.0000, 0.0000)
Lu (0.3710, 0.8710, 0.5000)
Lu (0.6290, 0.1290, 0.5000)
Sn (0.2144, 0.2144, 0.0000)
Sn (0.3043, 0.5000, 0.8043)
Sn (0.6957, 0.5000, 0.1957)
Sn (0.7856, 0.7856, 0.0000)
Pd (0.0263, 0.3224, 0.7038)
Pd (0.3814, 0.6776, 0.7038)
Pd (0.6186, 0.3224, 0.2962)
Pd (0.9737, 0.6776, 0.2962)

---

[8]
Structure and calculated X-ray powder pattern of DyLu6Te2Pd2 (a structure optimized by DFT (PBE); a wavelength of 1.5418 Å).
Neutral-atom scattering factors, no anomalous dispersion.

Main lines, by angle (2θ = 5–70°):
28.80 deg, intensity 31; 30.24 deg, intensity 49; 30.60 deg, intensity 21; 33.31 deg, intensity 63; 34.12 deg, intensity 100; 34.55 deg, intensity 51; 36.59 deg, intensity 22; 46.59 deg, intensity 29; 51.56 deg, intensity 20; 58.47 deg, intensity 25

Cell and atoms:
Unit cell a=9.2314 b=9.2314 c=9.2314 alpha=155.62 beta=67.49 gamma=118.16
Fractional coordinates of all 11 atoms:
Dy (0.0000, 0.0000, 0.0000)
Lu (0.0570, 0.3735, 0.6834)
Lu (0.0901, 0.7342, 0.3559)
Lu (0.3783, 0.7342, 0.6441)
Lu (0.4526, 0.5835, 0.8691)
Lu (0.6901, 0.3735, 0.3166)
Lu (0.7144, 0.5835, 0.1309)
Te (0.3394, 0.3394, 0.0000)
Te (0.7333, 0.2333, 0.5000)
Pd (0.3050, 0.0686, 0.2364)
Pd (0.8322, 0.0686, 0.7636)

---

[9]
Structure and calculated X-ray powder pattern of Dy5Lu2Te2Pd2 (a structure optimized by DFT (PBE); a wavelength of 1.5418 Å).
Neutral-atom scattering factors, no anomalous dispersion.

Main lines, by angle (2θ = 5–70°):
28.49 deg, intensity 18; 29.97 deg, intensity 70; 32.75 deg, intensity 59; 33.68 deg, intensity 100; 34.14 deg, intensity 45; 34.39 deg, intensity 14; 36.17 deg, intensity 21; 38.01 deg, intensity 21; 46.35 deg, intensity 34; 57.90 deg, intensity 23

Cell and atoms:
Unit cell a=9.3940 b=9.3940 c=9.3940 alpha=155.92 beta=67.21 gamma=118.32
Fractional coordinates of all 11 atoms:
Dy (0.0000, 0.0000, 0.0000)
Dy (0.2901, 0.4191, 0.8710)
Dy (0.3088, 0.6258, 0.6831)
Dy (0.5480, 0.4191, 0.1290)
Dy (0.9427, 0.6258, 0.3169)
Lu (0.6244, 0.2675, 0.3569)
Lu (0.9107, 0.2675, 0.6431)
Te (0.2646, 0.7646, 0.5000)
Te (0.6656, 0.6656, 0.0000)
Pd (0.1607, 0.9267, 0.2340)
Pd (0.6926, 0.9267, 0.7660)

---

[10]
Structure and calculated X-ray powder pattern of DyLuPt2 (a structure optimized by DFT (PBE); a wavelength of 1.5418 Å).
Neutral-atom scattering factors, no anomalous dispersion.

Main lines, by angle (2θ = 5–70°):
32.68 deg, intensity 75; 34.80 deg, intensity 26; 35.13 deg, intensity 21; 36.45 deg, intensity 48; 36.76 deg, intensity 58; 40.37 deg, intensity 100; 40.68 deg, intensity 46; 54.32 deg, intensity 15; 55.32 deg, intensity 13; 55.76 deg, intensity 16

Cell and atoms:
Unit cell a=5.5250 b=4.4699 c=6.9379 alpha=90.00 beta=90.76 gamma=90.00
Fractional coordinates of all 8 atoms:
Dy (0.1427, 0.2500, 0.1830)
Dy (0.8573, 0.7500, 0.8170)
Lu (0.3593, 0.2500, 0.6806)
Lu (0.6407, 0.7500, 0.3194)
Pt (0.1607, 0.7500, 0.4601)
Pt (0.3464, 0.7500, 0.9525)
Pt (0.6536, 0.2500, 0.0475)
Pt (0.8393, 0.2500, 0.5399)

---

[11]
Structure and calculated X-ray powder pattern of DyLu3Pt4 (a structure optimized by DFT (PBE); a wavelength of 1.5418 Å).
Neutral-atom scattering factors, no anomalous dispersion.

Main lines, by angle (2θ = 5–70°):
32.89 deg, intensity 77; 34.98 deg, intensity 25; 35.15 deg, intensity 23; 36.73 deg, intensity 50; 36.89 deg, intensity 54; 40.58 deg, intensity 100; 40.75 deg, intensity 46; 54.61 deg, intensity 14; 55.82 deg, intensity 15; 68.96 deg, intensity 16

Cell and atoms:
Unit cell a=5.5129 b=4.4486 c=6.8888 alpha=90.00 beta=90.39 gamma=90.00
Fractional coordinates of all 8 atoms:
Dy (0.0000, 0.0000, 0.0000)
Lu (0.2180, 0.0000, 0.4996)
Lu (0.4992, 0.5000, 0.1383)
Lu (0.7168, 0.5000, 0.6363)
Pt (0.0167, 0.5000, 0.2799)
Pt (0.2036, 0.5000, 0.7687)
Pt (0.5149, 0.0000, 0.8610)
Pt (0.6984, 0.0000, 0.3660)

---

[12]
Structure and calculated X-ray powder pattern of Dy5Lu2Te2Pt2 (a structure optimized by DFT (PBE); a wavelength of 1.5418 Å).
Neutral-atom scattering factors, no anomalous dispersion.

Main lines, by angle (2θ = 5–70°):
11.34 deg, intensity 23; 29.91 deg, intensity 38; 30.13 deg, intensity 20; 32.97 deg, intensity 44; 33.64 deg, intensity 100; 34.14 deg, intensity 43; 36.23 deg, intensity 25; 38.09 deg, intensity 28; 39.45 deg, intensity 19; 45.99 deg, intensity 28

Cell and atoms:
Unit cell a=9.3581 b=9.3581 c=9.3581 alpha=155.65 beta=67.09 gamma=118.57
Fractional coordinates of all 11 atoms:
Dy (0.0000, 0.0000, 0.0000)
Dy (0.0886, 0.7336, 0.3549)
Dy (0.3787, 0.7336, 0.6451)
Dy (0.4523, 0.5829, 0.8694)
Dy (0.7135, 0.5829, 0.1306)
Lu (0.0577, 0.3747, 0.6830)
Lu (0.6917, 0.3747, 0.3170)
Te (0.3362, 0.3362, 0.0000)
Te (0.7377, 0.2377, 0.5000)
Pt (0.3041, 0.0678, 0.2363)
Pt (0.8314, 0.0678, 0.7637)